(1)
Structure and simulated PXRD pattern of P2Pd (a crystal structure in the Materials Project, relaxed with GGA-PBE; Cu Kα, 1.54184 Å).
Kinematic intensities with the Lorentz-polarization factor, no thermal factor.

Main lines, by angle (15 to 90 degrees two-theta):
| Position (°2θ) | d_spacing | Rel. int. |
| --- | --- | --- |
| 22.03 | 4.035 | 66.9 |
| 30.31 | 2.948 | 100.0 |
| 32.38 | 2.765 | 38.3 |
| 32.62 | 2.745 | 50.4 |
| 49.17 | 1.853 | 29.7 |
| 50.55 | 1.806 | 29.0 |

Cell and atoms:
a = 4.5552 Å, b = 4.5552 Å, c = 5.9197 Å
α = 113.72°, β = 113.72°, γ = 80.73°
Positions (direct):
1 P 0.0618 0.3102 0.3337
2 P 0.3102 0.0618 0.8337
3 P 0.6898 0.9382 0.1663
4 P 0.9382 0.6898 0.6663
5 Pd 0.0000 0.5000 0.0000
6 Pd 0.5000 0.0000 0.5000


(2)
Structure and simulated PXRD pattern of ErOs3 (a crystal structure in the Materials Project, relaxed with GGA-PBE; Cu Kα, 1.54184 Å).
Kinematic intensities with the Lorentz-polarization factor, no thermal factor.

Main lines, by angle (15 to 90 degrees two-theta):
| Position (°2θ) | d_spacing | Rel. int. |
| --- | --- | --- |
| 35.89 | 2.502 | 24.1 |
| 39.15 | 2.301 | 25.6 |
| 41.06 | 2.198 | 100.0 |
| 64.51 | 1.445 | 17.5 |
| 72.24 | 1.308 | 19.2 |
| 78.11 | 1.223 | 20.4 |

Cell and atoms:
a = 5.7783 Å, b = 5.7783 Å, c = 4.6024 Å
α = 90.00°, β = 90.00°, γ = 120.00°
Positions (direct):
1 Er 0.3333 0.6667 0.2500
2 Er 0.6667 0.3333 0.7500
3 Os 0.1603 0.3206 0.7500
4 Os 0.1603 0.8397 0.7500
5 Os 0.3206 0.1603 0.2500
6 Os 0.6794 0.8397 0.7500
7 Os 0.8397 0.1603 0.2500
8 Os 0.8397 0.6794 0.2500